The following is a calculated powder diffractogram of SmMoI4O15. It was derived from a DFT-relaxed cell (PBE+U, Alexandria), using λ = 1.5418 Å (Cu Kα).
Intensities are scaled so that the largest is 100.

Most intense lines, 2θ = 15–90°, by intensity:
| 2θ (°) | I_rel | hkl |
| --- | --- | --- |
| 26.0 | 100 | 2 1 -1 |
| 23.7 | 83 | 1 1 1 |
| 23.4 | 82 | 1 3 0 |
| 24.8 | 72 | 1 0 -2 |
| 25.3 | 58 | 0 4 0 |
| 25.6 | 55 | 1 1 -2 |

Structural model:
```
SmMoI4O15
1.0
7.079 0.000 0.000
0.000 14.113 0.000
-2.958 0.000 6.604
Sm Mo I O
2 2 8 30
Direct
0.084 0.000 0.445 Sm
0.916 0.500 0.555 Sm
0.419 0.328 0.225 Mo
0.581 0.828 0.775 Mo
0.153 0.869 0.960 I
0.239 0.251 0.706 I
0.247 0.588 0.115 I
0.480 0.085 0.260 I
0.520 0.585 0.740 I
0.753 0.088 0.885 I
0.761 0.751 0.294 I
0.847 0.369 0.040 I
0.044 0.595 0.859 O
0.047 0.344 0.610 O
0.075 0.149 0.598 O
0.093 0.968 0.781 O
0.231 0.935 0.196 O
0.233 0.245 0.965 O
0.234 0.427 0.071 O
0.246 0.712 0.189 O
0.274 0.291 0.358 O
0.282 0.518 0.623 O
0.383 0.901 0.607 O
0.402 0.707 0.699 O
0.404 0.084 0.476 O
0.420 0.844 0.989 O
0.486 0.589 0.074 O
0.514 0.089 0.926 O
0.580 0.344 0.011 O
0.596 0.584 0.524 O
0.598 0.207 0.301 O
0.617 0.401 0.393 O
0.718 0.018 0.377 O
0.726 0.791 0.642 O
0.754 0.212 0.811 O
0.766 0.927 0.929 O
0.767 0.745 0.035 O
0.769 0.435 0.804 O
0.907 0.468 0.219 O
0.925 0.649 0.402 O
0.953 0.844 0.390 O
0.956 0.095 0.141 O
```